Theoretical PXRD pattern of PrThTlAu for Cu Kα X-rays, from DFT lattice parameters and positions (GGA-PBE).
Lines closer than 0.1° are merged.

Principal peaks in the range 10 to 90 degrees two-theta, low angle first:
Position (°2θ)	I/Imax	(hkl)
20.08	24	1 1 1
33.09	1000	2 2 0
39.01	15	3 1 1
47.49	185	4 0 0
52.06	7	3 3 1
59.10	389	4 2 2
69.43	121	4 4 0
73.11	5	5 3 1
79.10	171	6 2 0
88.45	45	4 4 4

Atomic structure:
Lattice parameters (Å, degrees): 7.6575 7.6575 7.6575 90.00 90.00 90.00
Space group F-43m (No. 216)
Asymmetric unit:
Pr1 0.0000 0.0000 0.0000 x4
Th1 0.0000 0.0000 0.5000 x4
Tl1 0.2500 0.2500 0.2500 x4
Au1 0.2500 0.2500 0.7500 x4